No. 1
Starting from a structure optimized by DFT (GGA-PBE), the powder diffractogram of Gd4Ni13C4 was calculated for CuKα.
Kinematic intensities with the Lorentz-polarization factor, no thermal factor.

Most intense lines, 2θ from 10° to 80°, most intense first:
d (Å)	I (rel.)
2.184	100
2.729	75
1.952	54
2.392	51
2.691	40
2.057	40
2.026	37
2.635	29
1.416	23
2.214	20

Structure:
Lattice parameters (Å, degrees): 11.7050 12.1063 3.9051 90.00 90.00 90.00
Space group Cmmm (No. 65)
One atom of each set of equivalent atoms:
1 Gd 0.0000 0.1886 0.0000 [4 per cell]
2 Gd 0.1521 0.5000 0.0000 [4 per cell]
3 Ni 0.0000 0.0000 0.5000 [2 per cell]
4 Ni 0.1072 0.3247 0.5000 [8 per cell]
5 Ni 0.1211 0.0000 0.0000 [4 per cell]
6 Ni 0.1812 0.1075 0.5000 [8 per cell]
7 Ni 0.2500 0.2500 0.0000 [4 per cell]
8 C 0.0000 0.4451 0.5000 [4 per cell]
9 C 0.2500 0.2500 0.5000 [4 per cell]

No. 2
Starting from a structure optimized by DFT (GGA-PBE), the powder diffractogram of GdC2O6 was calculated for CuKα.
Kinematic intensities with the Lorentz-polarization factor, no thermal factor.

Most intense lines, 2θ from 10° to 80°, most intense first:
d (Å)	I (rel.)
7.554	100
4.874	51
2.828	32
2.439	31
6.944	25
4.234	22
2.819	22
3.050	22
1.995	16
3.472	15

Structure:
Lattice parameters (Å, degrees): 4.8739 15.1085 7.8192 90.00 90.00 90.00
Space group Amm2 (No. 38)
One atom of each set of equivalent atoms:
1 Gd 0.0000 0.2076 0.0000 [4 per cell]
2 C 0.0000 0.0000 0.1061 [2 per cell]
3 C 0.0000 0.0000 0.8940 [2 per cell]
4 C 0.5000 0.2239 0.1952 [4 per cell]
5 O 0.0000 0.0755 0.1718 [4 per cell]
6 O 0.0000 0.0756 0.8281 [4 per cell]
7 O 0.0000 0.1313 0.4967 [4 per cell]
8 O 0.2659 0.2468 0.2584 [8 per cell]
9 O 0.5000 0.1793 0.0533 [4 per cell]

No. 3
Starting from a structure optimized by DFT (GGA-PBE), the powder diffractogram of Gd8Rh5C12 was calculated for CuKα.
Kinematic intensities with the Lorentz-polarization factor, no thermal factor.

Most intense lines, 2θ from 10° to 80°, most intense first:
d (Å)	I (rel.)
2.687	100
2.534	84
2.578	57
3.383	50
2.477	47
1.812	44
2.495	39
2.785	36
2.804	31
3.210	31

Structure:
Lattice parameters (Å, degrees): 28.1005 3.6243 7.4763 90.00 93.64 90.00
Space group C2/m (No. 12)
One atom of each set of equivalent atoms:
1 Gd 0.0471 0.0000 0.2974 [4 per cell]
2 Gd 0.0882 0.0000 0.8284 [4 per cell]
3 Gd 0.1996 0.0000 0.6089 [4 per cell]
4 Gd 0.2060 0.0000 0.1162 [4 per cell]
5 Rh 0.0000 0.5000 0.0000 [2 per cell]
6 Rh 0.1096 0.5000 0.4913 [4 per cell]
7 Rh 0.1170 0.5000 0.1286 [4 per cell]
8 C 0.0226 0.5000 0.7561 [4 per cell]
9 C 0.0479 0.5000 0.6159 [4 per cell]
10 C 0.1589 0.5000 0.8752 [4 per cell]
11 C 0.1681 0.5000 0.3489 [4 per cell]
12 C 0.2068 0.5000 0.8689 [4 per cell]
13 C 0.2159 0.5000 0.3647 [4 per cell]

No. 4
Starting from a structure optimized by DFT (GGA-PBE), the powder diffractogram of GdRh3C was calculated for CuKα.
Kinematic intensities with the Lorentz-polarization factor, no thermal factor.

Most intense lines, 2θ from 10° to 80°, most intense first:
d (Å)	I (rel.)
2.430	100
2.104	53
1.269	38
1.488	35
1.215	12
2.976	4
4.209	2
1.718	2
1.882	1
1.331	1

Structure:
Lattice parameters (Å, degrees): 4.2086 4.2086 4.2086 90.00 90.00 90.00
Space group Pm-3m (No. 221)
One atom of each set of equivalent atoms:
1 Gd 0.0000 0.0000 0.0000 [1 per cell]
2 Rh 0.0000 0.5000 0.5000 [3 per cell]
3 C 0.5000 0.5000 0.5000 [1 per cell]

No. 5
Starting from a structure optimized by DFT (GGA-PBE), the powder diffractogram of Gd3SnC was calculated for CuKα.
Kinematic intensities with the Lorentz-polarization factor, no thermal factor.

Most intense lines, 2θ from 10° to 80°, most intense first:
d (Å)	I (rel.)
2.860	100
2.477	54
1.494	43
1.751	38
1.430	13
1.238	6
4.954	2
2.215	1

Structure:
Lattice parameters (Å, degrees): 4.9537 4.9537 4.9537 90.00 90.00 90.00
Space group Pm-3m (No. 221)
One atom of each set of equivalent atoms:
1 Gd 0.0000 0.0000 0.5000 [3 per cell]
2 Sn 0.5000 0.5000 0.5000 [1 per cell]
3 C 0.0000 0.0000 0.0000 [1 per cell]

No. 6
Starting from a structure optimized by DFT (GGA-PBE), the powder diffractogram of GdUC4 was calculated for CuKα.
Kinematic intensities with the Lorentz-polarization factor, no thermal factor.

Most intense lines, 2θ from 10° to 80°, most intense first:
d (Å)	I (rel.)
3.119	100
2.556	44
1.968	35
3.085	31
1.564	29
1.787	27
1.271	18
1.559	17
1.807	16
1.321	8

Structure:
Lattice parameters (Å, degrees): 3.6149 3.6149 6.1695 90.00 90.00 90.00
Space group P4/mmm (No. 123)
One atom of each set of equivalent atoms:
1 Gd 0.0000 0.0000 0.0000 [1 per cell]
2 U 0.5000 0.5000 0.5000 [1 per cell]
3 C 0.0000 0.0000 0.3909 [2 per cell]
4 C 0.5000 0.5000 0.1062 [2 per cell]